Entry 1:
The following is a simulated X-ray powder pattern of Li2ZnSbS4. It was derived from a DFT-relaxed cell (PBE, Alexandria), using Cu Kα.

Peak list (10 most intense, 2θ = 10–90°, in order of falling intensity)
hkl 1 1 2, 2θ = 27.35°, rel. 100; hkl 1 0 1, 2θ = 17.51°, rel. 85; hkl 2 0 4, 2θ = 45.59°, rel. 44; hkl 2 1 1, 2θ = 36.22°, rel. 29; hkl 3 1 2, 2θ = 53.54°, rel. 28; hkl 1 0 3, 2θ = 28.71°, rel. 27; hkl 2 2 0, 2θ = 45.08°, rel. 23; hkl 1 2 3, 2θ = 43.11°, rel. 17; hkl 1 3 6, 2θ = 73.25°, rel. 14; hkl 4 2 4, 2θ = 83.57°, rel. 14

Crystal structure
a = 5.6880 Å, b = 5.6880 Å, c = 11.1399 Å
α = 90.00°, β = 90.00°, γ = 90.00°
Space group I-4 (No. 82)
Inequivalent atoms, fractional coordinates:
Li  0.0000  0.0000  0.0000
Li  0.0000  0.5000  0.2500
Zn  0.0000  0.0000  0.5000
Sb  0.0000  0.5000  0.7500
S  0.2362  0.7503  0.3806

Entry 2:
The following is a simulated X-ray powder pattern of LiZrSbS4. It was derived from a DFT-relaxed cell (PBE, Alexandria), using Cu Kα.

Peak list (10 most intense, 2θ = 10–90°, in order of falling intensity)
hkl 2 2 0, 2θ = 33.08°, rel. 100; hkl 1 0 1, 2θ = 14.17°, rel. 96; hkl 0 4 0, 2θ = 46.73°, rel. 91; hkl 0 1 1, 2θ = 13.87°, rel. 83; hkl 0 0 4, 2θ = 32.07°, rel. 52; hkl 1 2 1, 2θ = 26.99°, rel. 48; hkl 2 1 1, 2θ = 27.47°, rel. 27; hkl 1 2 3, 2θ = 35.45°, rel. 21; hkl 1 0 3, 2θ = 26.71°, rel. 20; hkl 4 0 4, 2θ = 59.14°, rel. 18

Crystal structure
a = 7.5425 Å, b = 7.7824 Å, c = 11.1645 Å
α = 90.00°, β = 90.00°, γ = 90.00°
Space group Imma (No. 74)
Inequivalent atoms, fractional coordinates:
Li  0.0000  0.2500  0.1273
Zr  0.2500  0.2500  0.7500
Sb  0.0000  0.0000  0.5000
S  0.0000  0.0191  0.7435
S  0.2481  0.2500  0.9804

Entry 3:
The following is a simulated X-ray powder pattern of Li3Sc3SnS8. It was derived from a DFT-relaxed cell (PBE, Alexandria), using Cu Kα.

Peak list (10 most intense, 2θ = 10–90°, in order of falling intensity)
hkl 0 2 4, 2θ = 34.06°, rel. 100; hkl 0 0 3, 2θ = 14.41°, rel. 66; hkl 2 0 8, 2θ = 48.65°, rel. 33; hkl 2 2 0, 2θ = 49.22°, rel. 33; hkl 0 2 1, 2θ = 28.25°, rel. 32; hkl 1 0 1, 2θ = 14.63°, rel. 17; hkl 4 0 4, 2θ = 61.22°, rel. 16; hkl 2 2 3, 2θ = 51.57°, rel. 16; hkl 2 4 4, 2θ = 82.26°, rel. 14; hkl 2 2 12, 2θ = 81.40°, rel. 14

Crystal structure
a = 7.4043 Å, b = 7.4043 Å, c = 18.4379 Å
α = 90.00°, β = 90.00°, γ = 120.00°
Space group R-3m (No. 166, hexagonal axes)
Inequivalent atoms, fractional coordinates:
Li  0.0000  0.5000  0.0000
Sc  0.0000  0.5000  0.5000
Sn  0.0000  0.0000  0.5000
S  0.0000  0.0000  0.2457
S  0.0029  0.5014  0.2466

Entry 4:
The following is a simulated X-ray powder pattern of Li4Sc3SnS8. It was derived from a DFT-relaxed cell (PBE, Alexandria), using Cu Kα.

Peak list (10 most intense, 2θ = 10–90°, in order of falling intensity)
hkl 0 2 4, 2θ = 33.87°, rel. 100; hkl 0 0 3, 2θ = 14.53°, rel. 69; hkl 0 2 1, 2θ = 27.93°, rel. 41; hkl 2 2 0, 2θ = 48.57°, rel. 33; hkl 2 0 8, 2θ = 48.74°, rel. 33; hkl 4 0 4, 2θ = 60.53°, rel. 17; hkl 2 0 5, 2θ = 37.01°, rel. 16; hkl 2 4 4, 2θ = 81.16°, rel. 14; hkl 2 2 12, 2θ = 81.41°, rel. 14; hkl 2 2 3, 2θ = 50.97°, rel. 14

Crystal structure
a = 7.4976 Å, b = 7.4976 Å, c = 18.2781 Å
α = 90.00°, β = 90.00°, γ = 120.00°
Space group R-3m (No. 166, hexagonal axes)
Inequivalent atoms, fractional coordinates:
Li  0.0000  0.0000  0.0000
Li  0.0000  0.5000  0.0000
Sc  0.0000  0.5000  0.5000
Sn  0.0000  0.0000  0.5000
S  0.0000  0.0000  0.2467
S  0.0081  0.5040  0.7526